Diffraction record for MgCo4P12O36. The powder XRD pattern is calculated, not measured: it uses a structure optimized by DFT (GGA+U) and Cu Kα (weighted mean of Kα1 and Kα2).
Neutral-atom scattering factors, no anomalous dispersion.

Cell and atoms:
Lattice parameters (Å, degrees): 8.588 8.624 8.871 89.44 89.64 89.23
Space group P1 (No. 1)
Asymmetric unit:
Mg 0.000 0.000 0.000 (multiplicity 1)
Co 0.176 0.859 0.229 (multiplicity 1)
Co 0.408 0.388 0.987 (multiplicity 1)
Co 0.658 0.671 0.494 (multiplicity 1)
Co 0.916 0.170 0.681 (multiplicity 1)
P 0.106 0.504 0.170 (multiplicity 1)
P 0.108 0.811 0.799 (multiplicity 1)
P 0.250 0.347 0.656 (multiplicity 1)
P 0.329 0.849 0.537 (multiplicity 1)
P 0.464 0.016 0.042 (multiplicity 1)
P 0.497 0.337 0.404 (multiplicity 1)
P 0.575 0.716 0.897 (multiplicity 1)
P 0.608 0.036 0.544 (multiplicity 1)
P 0.734 0.218 0.046 (multiplicity 1)
P 0.822 0.700 0.145 (multiplicity 1)
P 0.968 0.536 0.654 (multiplicity 1)
P 0.975 0.212 0.289 (multiplicity 1)
O 0.021 0.650 0.789 (multiplicity 1)
O 0.061 0.376 0.293 (multiplicity 1)
O 0.070 0.104 0.189 (multiplicity 1)
O 0.138 0.486 0.591 (multiplicity 1)
O 0.153 0.211 0.701 (multiplicity 1)
O 0.162 0.831 0.960 (multiplicity 1)
O 0.182 0.632 0.252 (multiplicity 1)
O 0.194 0.426 0.041 (multiplicity 1)
O 0.195 0.910 0.446 (multiplicity 1)
O 0.259 0.790 0.697 (multiplicity 1)
O 0.343 0.309 0.504 (multiplicity 1)
O 0.362 0.412 0.770 (multiplicity 1)
O 0.383 0.153 0.967 (multiplicity 1)
O 0.388 0.938 0.174 (multiplicity 1)
O 0.429 0.722 0.473 (multiplicity 1)
O 0.434 0.990 0.595 (multiplicity 1)
O 0.450 0.363 0.245 (multiplicity 1)
O 0.465 0.613 0.983 (multiplicity 1)
O 0.513 0.894 0.913 (multiplicity 1)
O 0.576 0.165 0.415 (multiplicity 1)
O 0.603 0.450 0.484 (multiplicity 1)
O 0.614 0.693 0.735 (multiplicity 1)
O 0.632 0.349 0.989 (multiplicity 1)
O 0.634 0.071 0.098 (multiplicity 1)
O 0.686 0.896 0.472 (multiplicity 1)
O 0.689 0.107 0.675 (multiplicity 1)
O 0.710 0.657 0.266 (multiplicity 1)
O 0.740 0.722 0.985 (multiplicity 1)
O 0.814 0.262 0.201 (multiplicity 1)
O 0.860 0.165 0.938 (multiplicity 1)
O 0.886 0.402 0.723 (multiplicity 1)
O 0.886 0.629 0.533 (multiplicity 1)
O 0.922 0.843 0.162 (multiplicity 1)
O 0.936 0.167 0.446 (multiplicity 1)
O 0.939 0.555 0.104 (multiplicity 1)
O 0.996 0.942 0.760 (multiplicity 1)

Principal peaks in the range 2θ = 5–70°, low angle first:
(hkl), 2theta, I (rel.)
-1 1 1, 17.72, 35.7
1 0 2, 22.51, 62.8
1 0 -2, 22.62, 90.3
1 2 0, 22.97, 100.0
1 -2 0, 23.22, 71.2
1 -1 2, 24.91, 29.4
2 1 -1, 25.24, 28.6
2 -1 1, 25.37, 38.4
1 3 0, 32.72, 34.8
1 -3 0, 32.97, 38.7